1.
Diffraction record for Ta2Al2PdPt. The PXRD pattern is simulated, not measured: it uses a DFT-relaxed cell (PBE, OQMD) and Cu Ka.
Intensities are scaled so that the largest is 1000.

Peak list (10 most intense, 2θ from 10° to 90°, by angle)
6.985 Å, I 9, hkl 0 0 2; 3.493 Å, I 906, hkl 1 1 1; 3.025 Å, I 32, hkl 2 0 2; 2.139 Å, I 1000, hkl 1 1 5; 1.824 Å, I 446, hkl 4 0 0; 1.512 Å, I 167, hkl 4 0 4; 1.388 Å, I 182, hkl 4 2 0; 1.353 Å, I 12, hkl 5 1 1; 1.235 Å, I 343, hkl 4 2 4; 1.164 Å, I 140, hkl 5 1 5

Atomic structure:
Unit cell a=7.409 b=4.278 c=14.187 alpha=90.00 beta=100.02 gamma=90.00
Space group Pm (No. 6)
Symmetry-distinct sites (fractional):
Ta  0.000  0.000  0.000 [1 per cell]
Ta  0.000  0.500  0.500 [1 per cell]
Ta  0.250  0.000  0.750 [1 per cell]
Ta  0.250  0.500  0.250 [1 per cell]
Ta  0.499  0.500  0.000 [1 per cell]
Ta  0.500  0.000  0.500 [1 per cell]
Ta  0.750  0.000  0.250 [1 per cell]
Ta  0.750  0.500  0.750 [1 per cell]
Al  0.125  0.000  0.376 [1 per cell]
Al  0.126  0.500  0.875 [1 per cell]
Al  0.375  0.000  0.125 [1 per cell]
Al  0.376  0.500  0.625 [1 per cell]
Al  0.623  0.000  0.874 [1 per cell]
Al  0.625  0.500  0.376 [1 per cell]
Al  0.873  0.000  0.624 [1 per cell]
Al  0.875  0.500  0.125 [1 per cell]
Pd  0.312  0.000  0.938 [1 per cell]
Pd  0.313  0.500  0.438 [1 per cell]
Pd  0.562  0.000  0.687 [1 per cell]
Pd  0.812  0.000  0.438 [1 per cell]
Pt  0.062  0.000  0.187 [1 per cell]
Pt  0.062  0.500  0.687 [1 per cell]
Pt  0.562  0.500  0.187 [1 per cell]
Pt  0.812  0.500  0.938 [1 per cell]

2.
Diffraction record for CsPm2CuTeS3. The PXRD pattern is simulated, not measured: it uses a DFT-relaxed cell (PBE, OQMD) and Cu Ka.
Intensities are scaled so that the largest is 1000.

Peak list (10 most intense, 2θ from 10° to 90°, by angle)
4.004 Å, I 548, hkl 0 2 3; 3.227 Å, I 351, hkl 1 3 0; 3.147 Å, I 427, hkl 1 3 1; 2.938 Å, I 1000, hkl 1 3 2; 2.679 Å, I 293, hkl 1 1 4; 2.332 Å, I 204, hkl 1 1 5; 2.171 Å, I 397, hkl 1 5 3; 2.117 Å, I 290, hkl 2 0 0; 2.002 Å, I 190, hkl 0 4 6; 1.769 Å, I 183, hkl 1 7 3

Atomic structure:
Unit cell a=4.234 b=14.951 c=14.225 alpha=90.00 beta=90.00 gamma=90.00
Space group Cmcm (No. 63)
Symmetry-distinct sites (fractional):
Cs  0.000  0.099  0.250 [4 per cell]
Pm  0.000  0.353  0.066 [8 per cell]
Cu  0.000  0.170  0.750 [4 per cell]
Te  0.000  0.000  0.000 [4 per cell]
S  0.000  0.259  0.611 [8 per cell]
S  0.000  0.410  0.250 [4 per cell]

3.
Diffraction record for Li3Cd10. The PXRD pattern is simulated, not measured: it uses a DFT-relaxed cell (PBE, OQMD) and Cu Ka.
Intensities are scaled so that the largest is 1000.

Peak list (10 most intense, 2θ from 10° to 90°, by angle)
7.098 Å, I 44, hkl 1 1 0; 4.098 Å, I 71, hkl 2 1 1; 3.346 Å, I 169, hkl 3 0 0; 2.683 Å, I 71, hkl 3 2 1; 2.366 Å, I 1000, hkl 3 3 0; 1.673 Å, I 103, hkl 6 0 0; 1.628 Å, I 47, hkl 6 1 1; 1.449 Å, I 50, hkl 4 4 4; 1.366 Å, I 193, hkl 6 3 3; 1.236 Å, I 101, hkl 7 4 1

Atomic structure:
Unit cell a=10.038 b=10.038 c=10.038 alpha=90.00 beta=90.00 gamma=90.00
Space group P-43m (No. 215)
Symmetry-distinct sites (fractional):
Li  0.030  0.314  0.314 [12 per cell]
Cd  0.000  0.000  0.353 [6 per cell]
Cd  0.120  0.120  0.120 [4 per cell]
Cd  0.139  0.500  0.500 [6 per cell]
Cd  0.176  0.176  0.824 [4 per cell]
Cd  0.183  0.183  0.529 [12 per cell]
Cd  0.311  0.311  0.311 [4 per cell]
Cd  0.388  0.388  0.612 [4 per cell]

4.
Diffraction record for Mo4P3. The PXRD pattern is simulated, not measured: it uses a DFT-relaxed cell (PBE, OQMD) and Cu Ka.
Intensities are scaled so that the largest is 1000.

Peak list (10 most intense, 2θ from 10° to 90°, by angle)
2.842 Å, I 445, hkl 4 0 3; 2.796 Å, I 527, hkl 2 1 1; 2.503 Å, I 1000, hkl 0 1 5; 2.473 Å, I 526, hkl 2 1 4; 2.347 Å, I 551, hkl 5 0 3; 2.261 Å, I 813, hkl 3 1 4; 2.149 Å, I 900, hkl 0 1 7; 2.142 Å, I 709, hkl 2 0 9; 2.040 Å, I 498, hkl 6 0 2; 1.582 Å, I 625, hkl 0 2 0

Atomic structure:
Unit cell a=12.496 b=3.164 c=20.523 alpha=90.00 beta=90.00 gamma=90.00
Space group Pnma (No. 62)
Symmetry-distinct sites (fractional):
Mo  0.009  0.250  0.172 [4 per cell]
Mo  0.095  0.250  0.534 [4 per cell]
Mo  0.099  0.750  0.973 [4 per cell]
Mo  0.115  0.750  0.647 [4 per cell]
Mo  0.120  0.250  0.311 [4 per cell]
Mo  0.194  0.250  0.773 [4 per cell]
Mo  0.202  0.750  0.114 [4 per cell]
Mo  0.203  0.750  0.416 [4 per cell]
P  0.016  0.250  0.725 [4 per cell]
P  0.018  0.750  0.081 [4 per cell]
P  0.042  0.250  0.419 [4 per cell]
P  0.179  0.750  0.863 [4 per cell]
P  0.200  0.250  0.205 [4 per cell]
P  0.246  0.250  0.028 [4 per cell]